Starting from a PBE+U-relaxed structure, the X-ray powder pattern of LiGe2MoO6 was computed for copper Kα.

Atomic structure:
Cell lengths 6.8732, 6.8732, 5.6086 Å; angles 103.71, 103.71, 85.40 degrees
Atoms (fractional coordinates):
Li (0.2397, 0.7603, 0.7500)
Li (0.7603, 0.2397, 0.2500)
Ge (0.2154, 0.3930, 0.2652)
Ge (0.3930, 0.2154, 0.7652)
Ge (0.6070, 0.7846, 0.2348)
Ge (0.7846, 0.6070, 0.7348)
Mo (0.0987, 0.9013, 0.2500)
Mo (0.9013, 0.0987, 0.7500)
O (0.0344, 0.1980, 0.1494)
O (0.1248, 0.6313, 0.3810)
O (0.1980, 0.0344, 0.6494)
O (0.3180, 0.4055, 0.0057)
O (0.3687, 0.8752, 0.1190)
O (0.4055, 0.3180, 0.5057)
O (0.5945, 0.6820, 0.4943)
O (0.6313, 0.1248, 0.8810)
O (0.6820, 0.5945, 0.9943)
O (0.8020, 0.9656, 0.3506)
O (0.8752, 0.3687, 0.6190)
O (0.9656, 0.8020, 0.8506)

Most intense lines, 2θ from 10° to 90°, sorted by position:
2θ 13.3, I = 23
2θ 18.9, I = 37
2θ 19.0, I = 37
2θ 23.6, I = 36
2θ 28.2, I = 100
2θ 29.6, I = 87
2θ 33.2, I = 35
2θ 33.8, I = 39
2θ 34.8, I = 50
2θ 52.8, I = 27